Record 1
Starting from DFT lattice parameters and positions (GGA+U), the XRD peak list of Ca8TiMn7O22 was simulated for λ = 1.5418 Å (Cu Kα).
Neutral-atom scattering factors, no anomalous dispersion.

a b c (Å): 7.6995 7.6995 7.6515
angles (deg): 90.00 90.00 90.00
Fractional coordinates of all 38 atoms:
Ca (0.2451, 0.2451, 0.0000)
Ca (0.2451, 0.7549, 0.0000)
Ca (0.2482, 0.2482, 0.5119)
Ca (0.2482, 0.7518, 0.5119)
Ca (0.7518, 0.2482, 0.5119)
Ca (0.7518, 0.7518, 0.5119)
Ca (0.7549, 0.2451, 0.0000)
Ca (0.7549, 0.7549, 0.0000)
Ti (0.5000, 0.5000, 0.2449)
Mn (0.0000, 0.0000, 0.2550)
Mn (0.0000, 0.0000, 0.7624)
Mn (0.0000, 0.5000, 0.2691)
Mn (0.0000, 0.5000, 0.7531)
Mn (0.5000, 0.0000, 0.2691)
Mn (0.5000, 0.0000, 0.7531)
Mn (0.5000, 0.5000, 0.7549)
O (0.0000, 0.0000, 0.0095)
O (0.0000, 0.2458, 0.2829)
O (0.0000, 0.2455, 0.7393)
O (0.0000, 0.5000, 0.0116)
O (0.0000, 0.5000, 0.5107)
O (0.0000, 0.7542, 0.2829)
O (0.0000, 0.7545, 0.7393)
O (0.2458, 0.0000, 0.2829)
O (0.2455, 0.0000, 0.7393)
O (0.2525, 0.5000, 0.7414)
O (0.2535, 0.5000, 0.2842)
O (0.5000, 0.0000, 0.0116)
O (0.5000, 0.0000, 0.5107)
O (0.5000, 0.2525, 0.7414)
O (0.5000, 0.2535, 0.2842)
O (0.5000, 0.5000, 0.0137)
O (0.5000, 0.7465, 0.2842)
O (0.5000, 0.7475, 0.7414)
O (0.7465, 0.5000, 0.2842)
O (0.7475, 0.5000, 0.7414)
O (0.7542, 0.0000, 0.2829)
O (0.7545, 0.0000, 0.7393)

Most intense lines, 10 to 90 degrees two-theta, sorted by position:
hkl  two_theta  I_rel
2 2 0  32.90  41
2 0 2  33.01  100
4 0 0  47.22  46
0 0 4  47.53  21
4 2 2  58.82  34
2 2 4  59.02  15
4 0 4  69.25  22
6 0 2  78.61  13


Record 2
Starting from DFT lattice parameters and positions (GGA+U), the XRD peak list of Ca8Ti2Mn6O23 was simulated for λ = 1.5418 Å (Cu Kα).
Neutral-atom scattering factors, no anomalous dispersion.

a b c (Å): 7.6617 7.6721 7.6812
angles (deg): 90.00 90.00 90.00
Fractional coordinates of all 39 atoms:
Ca (0.2319, 0.2394, 0.0000)
Ca (0.2319, 0.7606, 0.0000)
Ca (0.2378, 0.2430, 0.4887)
Ca (0.2378, 0.7570, 0.4887)
Ca (0.7622, 0.2430, 0.4887)
Ca (0.7622, 0.7570, 0.4887)
Ca (0.7681, 0.2394, 0.0000)
Ca (0.7681, 0.7606, 0.0000)
Ti (0.5000, 0.0000, 0.7321)
Ti (0.5000, 0.5000, 0.7544)
Mn (0.0000, 0.0000, 0.2419)
Mn (0.0000, 0.0000, 0.7407)
Mn (0.0000, 0.5000, 0.2439)
Mn (0.0000, 0.5000, 0.7347)
Mn (0.5000, 0.0000, 0.2422)
Mn (0.5000, 0.5000, 0.2404)
O (0.0000, 0.0000, 0.4902)
O (0.0000, 0.0000, 0.9906)
O (0.0000, 0.2495, 0.2338)
O (0.0000, 0.2497, 0.7441)
O (0.0000, 0.5000, 0.4892)
O (0.0000, 0.5000, 0.9899)
O (0.0000, 0.7505, 0.2338)
O (0.0000, 0.7503, 0.7441)
O (0.2478, 0.0000, 0.7432)
O (0.2498, 0.0000, 0.2343)
O (0.2522, 0.5000, 0.2653)
O (0.2515, 0.5000, 0.7151)
O (0.5000, 0.0000, 0.4847)
O (0.5000, 0.0000, 0.9895)
O (0.5000, 0.2517, 0.2636)
O (0.5000, 0.2566, 0.7008)
O (0.5000, 0.5000, 0.9834)
O (0.5000, 0.7434, 0.7008)
O (0.5000, 0.7483, 0.2636)
O (0.7478, 0.5000, 0.2653)
O (0.7485, 0.5000, 0.7151)
O (0.7502, 0.0000, 0.2343)
O (0.7522, 0.0000, 0.7432)

Most intense lines, 10 to 90 degrees two-theta, sorted by position:
hkl  two_theta  I_rel
0 0 2  23.19  16
0 2 2  33.02  100
0 4 0  47.37  34
4 0 0  47.47  17
2 2 4  58.98  34
0 4 4  69.26  17
4 4 0  69.33  9
4 4 4  88.25  8


Record 3
Starting from DFT lattice parameters and positions (GGA+U), the XRD peak list of Ca4TiMn3O10 was simulated for λ = 1.5418 Å (Cu Kα).
Neutral-atom scattering factors, no anomalous dispersion.

a b c (Å): 7.7658 7.8342 8.0386
angles (deg): 90.86 90.29 90.04
Fractional coordinates of all 36 atoms:
Ca (0.0000, 0.0000, 0.0000)
Ca (0.0011, 0.4671, 0.9876)
Ca (0.0288, 0.4848, 0.5158)
Ca (0.0457, 0.9889, 0.5811)
Ca (0.5512, 0.9898, 0.5806)
Ca (0.5658, 0.4773, 0.9745)
Ca (0.5675, 0.0115, 0.0033)
Ca (0.5699, 0.4958, 0.5395)
Ti (0.2829, 0.2388, 0.2782)
Ti (0.2966, 0.8082, 0.3053)
Mn (0.2949, 0.7458, 0.8197)
Mn (0.3004, 0.2489, 0.8048)
Mn (0.7790, 0.7342, 0.2699)
Mn (0.7947, 0.2393, 0.7542)
Mn (0.7950, 0.7328, 0.7861)
Mn (0.8009, 0.2312, 0.2671)
O (0.0448, 0.7787, 0.7796)
O (0.0478, 0.2139, 0.7848)
O (0.0673, 0.2542, 0.2011)
O (0.0876, 0.7422, 0.3914)
O (0.2716, 0.5002, 0.8647)
O (0.2886, 0.8309, 0.0840)
O (0.2998, 0.0321, 0.3994)
O (0.3076, 0.4051, 0.4339)
O (0.3313, 0.9928, 0.7749)
O (0.4177, 0.2473, 0.0967)
O (0.5130, 0.7476, 0.3789)
O (0.5421, 0.7053, 0.7553)
O (0.5441, 0.2721, 0.7342)
O (0.7674, 0.9772, 0.7915)
O (0.7739, 0.2675, 0.0164)
O (0.7839, 0.9858, 0.2088)
O (0.7882, 0.4805, 0.3368)
O (0.7899, 0.6752, 0.0293)
O (0.8090, 0.1696, 0.5039)
O (0.8282, 0.4969, 0.7226)

Most intense lines, 10 to 90 degrees two-theta, sorted by position:
hkl  two_theta  I_rel
0 2 -2  31.66  57
2 0 -2  31.97  51
0 2 2  32.14  100
2 -2 0  32.47  74
0 4 0  46.37  33
4 0 0  46.79  42
2 -4 2  57.16  23
-4 2 2  57.73  25